# La2Sm2N3
Computed X-ray powder pattern, Cu Kα (weighted mean of Kα1 and Kα2). Input: a GGA-PBE-relaxed structure.
Intensities are scaled so that the largest is 100.

Largest 10 diffraction maxima, most intense first, 2θ = 15–90°:
29.9°, d = 2.992 Å, intensity 100; 34.8°, d = 2.576 Å, intensity 59; 29.4°, d = 3.037 Å, intensity 33; 33.8°, d = 2.652 Å, intensity 31; 49.6°, d = 1.837 Å, intensity 21; 49.0°, d = 1.859 Å, intensity 20; 59.4°, d = 1.556 Å, intensity 18; 58.0°, d = 1.589 Å, intensity 11; 62.0°, d = 1.497 Å, intensity 10; 50.3°, d = 1.813 Å, intensity 10

Structural model:
```
La2Sm2N3
1.0
6.058 -1.813 0.000
6.058 1.813 0.000
-1.051 0.000 6.412
La Sm N
2 2 3
Cartesian
1.236 0.000 2.310 La
9.828 0.000 4.102 La
4.405 0.000 0.673 Sm
6.659 0.000 5.739 Sm
0.000 0.000 0.000 N
2.292 0.000 4.895 N
8.772 0.000 1.517 N
```

---

# LaSm4N4
Computed X-ray powder pattern, Cu Kα (weighted mean of Kα1 and Kα2). Input: a GGA-PBE-relaxed structure.
Intensities are scaled so that the largest is 100.

Largest 10 diffraction maxima, most intense first, 2θ = 15–90°:
30.2°, d = 2.963 Å, intensity 100; 34.7°, d = 2.583 Å, intensity 46; 50.5°, d = 1.809 Å, intensity 31; 59.5°, d = 1.555 Å, intensity 27; 35.4°, d = 2.534 Å, intensity 22; 60.4°, d = 1.533 Å, intensity 15; 49.9°, d = 1.826 Å, intensity 15; 62.7°, d = 1.482 Å, intensity 15; 82.1°, d = 1.174 Å, intensity 11; 85.3°, d = 1.137 Å, intensity 7

Structural model:
```
LaSm4N4
1.0
-4.084 4.084 2.534
4.084 -4.084 2.534
4.084 4.084 -2.534
La Sm N
1 4 4
Cartesian
0.000 0.000 0.000 La
3.182 1.501 0.000 Sm
2.583 -0.901 2.534 Sm
1.501 4.985 0.000 Sm
0.901 2.583 2.534 Sm
5.698 0.797 0.000 N
0.797 2.469 0.000 N
3.287 1.614 2.534 N
-1.614 3.287 2.534 N
```

---

> Which formula does entry 2 have?

LaSm4N4

---

Copy entry 1 word for word.
# La2Sm2N3
Computed X-ray powder pattern, Cu Kα (weighted mean of Kα1 and Kα2). Input: a GGA-PBE-relaxed structure.
Intensities are scaled so that the largest is 100.

Largest 10 diffraction maxima, most intense first, 2θ = 15–90°:
29.9°, d = 2.992 Å, intensity 100; 34.8°, d = 2.576 Å, intensity 59; 29.4°, d = 3.037 Å, intensity 33; 33.8°, d = 2.652 Å, intensity 31; 49.6°, d = 1.837 Å, intensity 21; 49.0°, d = 1.859 Å, intensity 20; 59.4°, d = 1.556 Å, intensity 18; 58.0°, d = 1.589 Å, intensity 11; 62.0°, d = 1.497 Å, intensity 10; 50.3°, d = 1.813 Å, intensity 10

Structural model:
```
La2Sm2N3
1.0
6.058 -1.813 0.000
6.058 1.813 0.000
-1.051 0.000 6.412
La Sm N
2 2 3
Cartesian
1.236 0.000 2.310 La
9.828 0.000 4.102 La
4.405 0.000 0.673 Sm
6.659 0.000 5.739 Sm
0.000 0.000 0.000 N
2.292 0.000 4.895 N
8.772 0.000 1.517 N
```

---

> Number 2 is which compound?

LaSm4N4